# Ac5La2PmPr
Computed PXRD pattern, Cu Kα (weighted mean of Kα1 and Kα2). Input: a cell relaxed with PBE.
Intensities are scaled so that the largest is 100.

Cell and atoms:
Cell lengths 12.0146, 12.0146, 12.0146 Å; angles 138.38, 138.38, 60.32 degrees
Atoms (fractional coordinates):
Ac1 0.0000 0.0000 0.0000
Ac2 0.0856 0.5856 0.9460
Ac3 0.1396 0.0856 0.5000
Ac4 0.3604 0.8604 0.9460
Ac5 0.4144 0.3604 0.5000
Ac6 0.5000 0.5000 0.0000
Ac7 0.5856 0.6396 0.5000
Ac8 0.6396 0.1396 0.0540
Ac9 0.8604 0.9144 0.5000
Ac10 0.9144 0.4144 0.0540
La1 0.1209 0.3791 0.5000
La2 0.3791 0.8791 0.2583
La3 0.6209 0.1209 0.7417
La4 0.8791 0.6209 0.5000
Pm1 0.2500 0.2500 0.0000
Pm2 0.7500 0.7500 0.0000
Pr1 0.2500 0.7500 0.5000
Pr2 0.7500 0.2500 0.5000

Main lines, by angle (2θ = 5–70°):
2θ/deg  d [Å]  I/Imax
26.66  3.343  23
27.04  3.298  100
29.60  3.018  39
31.83  2.811  7
34.33  2.612  9
34.54  2.597  17
42.35  2.134  8
46.11  1.969  18
48.69  1.870  7
50.97  1.792  26
57.44  1.604  8
66.78  1.401  7